Theoretical X-ray powder pattern
Compound: GaAgCl5
Radiation: Cu Kα (λ = 1.5418 Å)
Structure: a cell relaxed with GGA-PBE

Largest 10 diffraction maxima, sorted by position, 10° ≤ 2θ ≤ 80°:
d_spacing, 2theta, Rel. int.
6.899, 12.83, 100
6.216, 14.25, 62
4.708, 18.85, 43
4.523, 19.63, 70
4.092, 21.72, 67
3.551, 25.08, 58
3.277, 27.21, 65
2.900, 30.83, 77
2.354, 38.23, 36
2.299, 39.18, 42

Atomic structure:
```
14
Lattice="4.851 -5.333 0.000 4.851 5.333 0.000 -3.220 0.000 8.308" Properties=species:S:1:pos:R:3 pbc="T T T"
Ga 2.436 3.395 6.231
Ga 4.046 -3.395 2.077
Ag 4.851 0.000 0.000
Ag 3.241 0.000 4.154
Cl 0.186 0.795 3.627
Cl 0.835 2.089 7.154
Cl -1.424 -0.795 7.781
Cl 4.046 1.010 2.077
Cl 4.037 2.089 5.307
Cl 2.445 -2.089 3.000
Cl 2.436 -1.010 6.231
Cl 7.906 0.795 0.527
Cl 5.647 -2.089 1.154
Cl 6.296 -0.795 4.681
```

Theoretical X-ray powder pattern
Compound: Er4Tl3
Radiation: Cu Kα (λ = 1.5418 Å)
Structure: a cell relaxed with GGA-PBE

Largest 10 diffraction maxima, sorted by position, 10° ≤ 2θ ≤ 80°:
d_spacing, 2theta, Rel. int.
2.930, 30.51, 100
2.476, 36.28, 68
2.072, 43.69, 17
1.975, 45.94, 12
1.891, 48.11, 15
1.817, 50.21, 19
1.503, 61.72, 29
1.465, 63.50, 11
1.430, 65.26, 15
1.261, 75.38, 18

Atomic structure:
```
14
Lattice="-4.633 4.633 4.633 4.633 -4.633 4.633 4.633 4.633 -4.633" Properties=species:S:1:pos:R:3 pbc="T T T"
Er 3.951 0.682 -0.682
Er 6.267 -1.635 1.635
Er 0.682 0.682 0.682
Er 0.682 -0.682 3.951
Er -0.682 3.951 0.682
Er 1.635 6.267 -1.635
Er 2.998 2.998 2.998
Er -1.635 1.635 6.267
Tl 6.949 1.158 0.000
Tl 3.475 0.000 2.316
Tl 2.316 3.475 0.000
Tl 0.000 2.316 3.475
Tl 1.158 0.000 6.949
Tl 0.000 6.949 1.158
```

Theoretical X-ray powder pattern
Compound: V2IrCl2
Radiation: Cu Kα (λ = 1.5418 Å)
Structure: a cell relaxed with GGA-PBE

Largest 10 diffraction maxima, sorted by position, 10° ≤ 2θ ≤ 80°:
d_spacing, 2theta, Rel. int.
5.113, 17.35, 97
3.615, 24.63, 32
2.556, 35.11, 52
2.466, 36.44, 53
2.286, 39.41, 100
2.221, 40.62, 80
2.123, 42.58, 31
1.775, 51.49, 46
1.402, 66.72, 21
1.266, 75.00, 26

Atomic structure:
```
10
Lattice="7.230 0.000 0.000 0.000 7.230 0.000 0.000 0.000 2.815" Properties=species:S:1:pos:R:3 pbc="T T T"
V 1.311 2.304 0.000
V 2.304 5.919 0.000
V 4.926 1.311 0.000
V 5.919 4.926 0.000
Ir 0.000 0.000 1.407
Ir 3.615 3.615 1.407
Cl 0.949 4.564 1.407
Cl 2.666 0.949 1.407
Cl 4.564 6.281 1.407
Cl 6.281 2.666 1.407
```